No. 1
Diffraction record for Cd2NiTe. The powder diffraction line list is simulated, not measured: it uses a structure optimized by DFT (PBE) and Cu Kα (λ = 1.5418 Å).

Cell and atoms:
a b c (Å): 4.2577 3.2374 6.7763
angles (deg): 90.00 108.29 90.00
Positions (direct):
Cd 0.0000 0.0000 0.0000
Cd 0.3441 0.5000 0.6856
Ni 0.7993 0.0000 0.5961
Te 0.6457 0.5000 0.2902

Most intense lines, 10° ≤ 2θ ≤ 90°, by angle:
2theta, I (rel.)
29.56, 88
30.92, 20
35.53, 100
39.49, 51
40.85, 27
42.14, 23
42.46, 34
59.37, 30
62.01, 20
73.22, 20

***

No. 2
Diffraction record for BaAcAu. The powder diffraction line list is simulated, not measured: it uses a structure optimized by DFT (PBE) and Cu Kα (λ = 1.5418 Å).

Cell and atoms:
a b c (Å): 5.5872 5.5872 7.8306
angles (deg): 90.00 90.00 90.00
Positions (direct):
Ba 0.2500 0.2500 0.1091
Ba 0.7500 0.7500 0.8909
Ac 0.2500 0.7500 0.5000
Ac 0.7500 0.2500 0.5000
Au 0.2500 0.2500 0.6887
Au 0.7500 0.7500 0.3113

Most intense lines, 10° ≤ 2θ ≤ 90°, by angle:
2theta, I (rel.)
11.30, 65
25.25, 74
27.82, 68
32.04, 100
32.19, 74
41.46, 39
42.94, 42
45.94, 37
57.20, 30
76.23, 24

***

No. 3
Diffraction record for Na8B3S8. The powder diffraction line list is simulated, not measured: it uses a structure optimized by DFT (PBE) and Cu Kα (λ = 1.5418 Å).

Cell and atoms:
a b c (Å): 10.6855 10.6855 8.1428
angles (deg): 107.32 107.32 30.54
Positions (direct):
Na 0.0349 0.0349 0.2369
Na 0.2046 0.2046 0.8109
Na 0.3258 0.3258 0.5326
Na 0.3919 0.3919 0.0755
Na 0.6081 0.6081 0.9245
Na 0.6742 0.6742 0.4674
Na 0.7954 0.7954 0.1891
Na 0.9651 0.9651 0.7631
B 0.1861 0.1861 0.2007
B 0.5000 0.5000 0.5000
B 0.8139 0.8139 0.7993
S 0.1112 0.1112 0.0030
S 0.1744 0.1744 0.4143
S 0.2724 0.2724 0.1790
S 0.4771 0.4771 0.6864
S 0.5229 0.5229 0.3136
S 0.7276 0.7276 0.8210
S 0.8256 0.8256 0.5857
S 0.8888 0.8888 0.9970

Most intense lines, 10° ≤ 2θ ≤ 90°, by angle:
2theta, I (rel.)
19.20, 56
20.83, 23
21.92, 29
31.80, 100
32.87, 22
33.63, 35
33.88, 26
34.81, 46
46.95, 26
47.86, 34

***

No. 4
Diffraction record for PmDy2Er2Tm. The powder diffraction line list is simulated, not measured: it uses a structure optimized by DFT (PBE) and Cu Kα (λ = 1.5418 Å).

Cell and atoms:
a b c (Å): 6.9142 9.7030 5.5797
angles (deg): 90.00 90.00 90.00
Positions (direct):
Pm 0.0000 0.0000 0.0000
Pm 0.5000 0.5000 0.5000
Dy 0.2483 0.3335 0.0000
Dy 0.2517 0.8335 0.5000
Dy 0.7483 0.1665 0.5000
Dy 0.7517 0.6665 0.0000
Er 0.2491 0.6668 0.0000
Er 0.2509 0.1668 0.5000
Er 0.7491 0.8332 0.5000
Er 0.7509 0.3332 0.0000
Tm 0.0000 0.5000 0.5000
Tm 0.5000 0.0000 0.0000

Most intense lines, 10° ≤ 2θ ≤ 90°, by angle:
2theta, I (rel.)
31.81, 89
32.02, 100
41.54, 12
45.75, 33
52.97, 8
56.90, 30
57.02, 11
57.13, 13
63.25, 29
81.67, 9

***

No. 5
Diffraction record for GdTh2Sc. The powder diffraction line list is simulated, not measured: it uses a structure optimized by DFT (PBE) and Cu Kα (λ = 1.5418 Å).

Cell and atoms:
a b c (Å): 7.8390 7.8390 7.8390
angles (deg): 90.00 90.00 90.00
Positions (direct):
Gd 0.0000 0.0000 0.0000
Gd 0.0000 0.5000 0.5000
Gd 0.5000 0.0000 0.5000
Gd 0.5000 0.5000 0.0000
Th 0.2500 0.2500 0.2500
Th 0.2500 0.2500 0.7500
Th 0.2500 0.7500 0.2500
Th 0.2500 0.7500 0.7500
Th 0.7500 0.2500 0.2500
Th 0.7500 0.2500 0.7500
Th 0.7500 0.7500 0.2500
Th 0.7500 0.7500 0.7500
Sc 0.0000 0.0000 0.5000
Sc 0.0000 0.5000 0.0000
Sc 0.5000 0.0000 0.0000
Sc 0.5000 0.5000 0.5000

Most intense lines, 10° ≤ 2θ ≤ 90°, by angle:
2theta, I (rel.)
19.61, 6
22.69, 17
32.30, 100
39.84, 6
46.33, 19
52.18, 8
57.60, 39
67.60, 12
76.92, 17
85.90, 4